Starting from a crystal structure in Alexandria, relaxed with PBE+U, the powder XRD pattern of Li2NiIrO4 was computed for a wavelength of 1.5418 Å.

Most intense lines, 10 to 90 degrees two-theta, low angle first:
2θ = 22.03°, I 100
2θ = 23.43°, I 89
2θ = 29.36°, I 98
2θ = 37.00°, I 71
2θ = 42.00°, I 67
2θ = 47.92°, I 51

Structure:
Cell lengths 4.3026, 4.3026, 8.0714 Å; angles 90.00, 90.00, 90.00 degrees
Fractional coordinates of all 16 atoms:
Li: 0.0000 0.5000 0.2500
Li: 0.0000 0.5000 0.7500
Li: 0.5000 0.0000 0.2500
Li: 0.5000 0.0000 0.7500
Ni: 0.0000 0.0000 0.0000
Ni: 0.5000 0.5000 0.5000
Ir: 0.0000 0.0000 0.5000
Ir: 0.5000 0.5000 0.0000
O: 0.0000 0.0000 0.2585
O: 0.0000 0.0000 0.7415
O: 0.0000 0.5000 0.0000
O: 0.0000 0.5000 0.5000
O: 0.5000 0.0000 0.0000
O: 0.5000 0.0000 0.5000
O: 0.5000 0.5000 0.2415
O: 0.5000 0.5000 0.7585